Diffraction record for V4GaNi15. The X-ray diffraction stick pattern is simulated, not measured: it uses a crystal structure in Alexandria, relaxed with GGA-PBE and λ = 1.5418 Å (Cu Kα).
Peak positions follow from Bragg's law for the DFT cell and can differ from measured ones.

Cell and atoms:
```
data_V4GaNi15
_space_group_name_H-M_alt 'P 4/m m m'
_space_group_IT_number 123
_space_group_name_Hall '-P 4 2'
_cell_length_a 3.563
_cell_length_b 3.563
_cell_length_c 17.855
_cell_angle_alpha 90.00
_cell_angle_beta 90.00
_cell_angle_gamma 90.00
loop_
_atom_site_label
_atom_site_type_symbol
_atom_site_fract_x
_atom_site_fract_y
_atom_site_fract_z
V1 V 0.000 0.000 0.100
V2 V 0.000 0.000 0.302
Ga1 Ga 0.000 0.000 0.500
Ni1 Ni 0.000 0.500 0.000
Ni2 Ni 0.000 0.500 0.200
Ni3 Ni 0.000 0.500 0.397
Ni4 Ni 0.500 0.500 0.100
Ni5 Ni 0.500 0.500 0.299
Ni6 Ni 0.500 0.500 0.500
```

Peak list (6 most intense, 10 to 90 degrees two-theta, by intensity)
2θ (°)	intensity
43.99	100
51.29	31
75.37	18
51.16	15
75.48	9
24.98	1